1.
This entry pairs a crystal structure of Sr6AgAu2N with its calculated powder diffractogram. Radiation: Cu Kα (λ = 1.5418 Å). Structure: a DFT-relaxed cell (GGA-PBE, Alexandria).

Structure:
```
Sr6AgAu2N
1.0
7.431 0.000 0.000
0.000 8.170 0.000
-6.782 0.000 10.700
Sr Ag Au N
12 2 4 2
Direct
0.088 0.042 0.227
0.088 0.458 0.727
0.214 0.711 0.067
0.214 0.789 0.567
0.351 0.161 0.057
0.351 0.339 0.557
0.649 0.661 0.443
0.649 0.839 0.943
0.786 0.211 0.433
0.786 0.289 0.933
0.912 0.542 0.273
0.912 0.958 0.773
0.500 0.000 0.500
0.500 0.500 0.000
0.306 0.105 0.761
0.306 0.395 0.261
0.694 0.605 0.739
0.694 0.895 0.239
0.000 0.000 0.000
0.000 0.500 0.500
```

The 8 most intense peaks (2θ from 5° to 70°), by angle:
| two_theta | d (Å) | intensity |
| --- | --- | --- |
| 28.14 | 3.171 | 87 |
| 29.63 | 3.015 | 48 |
| 30.49 | 2.932 | 100 |
| 33.34 | 2.687 | 90 |
| 33.50 | 2.675 | 45 |
| 35.95 | 2.498 | 52 |
| 40.79 | 2.212 | 43 |
| 42.70 | 2.118 | 45 |

=====

2.
This entry pairs a crystal structure of Na12Ag2Au with its calculated powder diffractogram. Radiation: Cu Kα (λ = 1.5418 Å). Structure: a DFT-relaxed cell (GGA-PBE, Alexandria).

Structure:
```
Na12Ag2Au
1.0
6.580 0.000 0.000
0.000 6.580 0.000
0.000 0.000 24.953
Na Ag Au
24 4 2
Direct
0.000 0.000 0.074
0.000 0.000 0.926
0.000 0.500 0.074
0.000 0.500 0.926
0.068 0.568 0.434
0.068 0.932 0.566
0.250 0.250 0.185
0.250 0.250 0.321
0.250 0.250 0.679
0.250 0.250 0.815
0.432 0.568 0.566
0.432 0.932 0.434
0.500 0.000 0.074
0.500 0.000 0.926
0.500 0.500 0.074
0.500 0.500 0.926
0.568 0.068 0.566
0.568 0.432 0.434
0.750 0.750 0.185
0.750 0.750 0.321
0.750 0.750 0.679
0.750 0.750 0.815
0.932 0.068 0.434
0.932 0.432 0.566
0.250 0.750 0.160
0.250 0.750 0.840
0.750 0.250 0.160
0.750 0.250 0.840
0.250 0.750 0.000
0.750 0.250 0.000
```

The 8 most intense peaks (2θ from 5° to 70°), by angle:
| two_theta | d (Å) | intensity |
| --- | --- | --- |
| 7.09 | 12.477 | 58 |
| 19.07 | 4.653 | 62 |
| 19.41 | 4.574 | 95 |
| 27.34 | 3.262 | 37 |
| 28.79 | 3.101 | 41 |
| 31.62 | 2.830 | 48 |
| 34.77 | 2.580 | 100 |
| 38.71 | 2.326 | 39 |

=====

3.
This entry pairs a crystal structure of NaAg2Au2 with its calculated powder diffractogram. Radiation: Cu Kα (λ = 1.5418 Å). Structure: a DFT-relaxed cell (GGA-PBE, Alexandria).

Structure:
```
NaAg2Au2
1.0
8.147 0.000 0.000
0.000 8.147 0.000
0.000 0.000 3.038
Na Ag Au
2 4 4
Direct
0.000 0.000 0.000
0.500 0.500 0.000
0.169 0.331 0.500
0.331 0.831 0.500
0.669 0.169 0.500
0.831 0.669 0.500
0.128 0.628 0.000
0.372 0.128 0.000
0.628 0.872 0.000
0.872 0.372 0.000
```

The 8 most intense peaks (2θ from 5° to 70°), by angle:
| two_theta | d (Å) | intensity |
| --- | --- | --- |
| 15.38 | 5.761 | 54 |
| 34.82 | 2.576 | 37 |
| 38.59 | 2.333 | 100 |
| 39.90 | 2.260 | 16 |
| 44.48 | 2.037 | 18 |
| 47.34 | 1.920 | 12 |
| 50.33 | 1.813 | 15 |
| 69.40 | 1.354 | 19 |

=====

4.
This entry pairs a crystal structure of NaAg4Au8 with its calculated powder diffractogram. Radiation: Cu Kα (λ = 1.5418 Å). Structure: a DFT-relaxed cell (GGA-PBE, Alexandria).

Structure:
```
NaAg4Au8
1.0
0.000 5.283 5.283
5.283 0.000 5.283
5.283 5.283 0.000
Na Ag Au
1 4 8
Direct
0.000 0.000 0.000
0.403 0.403 0.403
0.403 0.403 0.790
0.403 0.790 0.403
0.790 0.403 0.403
0.030 0.657 0.657
0.152 0.152 0.152
0.152 0.152 0.544
0.152 0.544 0.152
0.544 0.152 0.152
0.657 0.030 0.657
0.657 0.657 0.030
0.657 0.657 0.657
```

The 8 most intense peaks (2θ from 5° to 70°), by angle:
| two_theta | d (Å) | intensity |
| --- | --- | --- |
| 14.52 | 6.100 | 15 |
| 16.78 | 5.283 | 25 |
| 29.28 | 3.050 | 50 |
| 33.94 | 2.642 | 69 |
| 41.89 | 2.157 | 100 |
| 48.75 | 1.868 | 30 |
| 51.92 | 1.761 | 21 |
| 66.18 | 1.412 | 21 |

=====

5.
This entry pairs a crystal structure of NaAg5Au2 with its calculated powder diffractogram. Radiation: Cu Kα (λ = 1.5418 Å). Structure: a DFT-relaxed cell (GGA-PBE, Alexandria).

Structure:
```
NaAg5Au2
1.0
-2.083 4.142 4.850
2.083 -4.142 4.850
2.083 4.142 -4.850
Na Ag Au
1 5 2
Direct
0.000 0.000 0.000
0.173 0.349 0.823
0.474 0.651 0.823
0.500 0.000 0.500
0.526 0.349 0.177
0.827 0.651 0.177
0.212 0.712 0.500
0.788 0.288 0.500
```

The 8 most intense peaks (2θ from 5° to 70°), by angle:
| two_theta | d (Å) | intensity |
| --- | --- | --- |
| 18.29 | 4.850 | 46 |
| 23.91 | 3.722 | 31 |
| 35.13 | 2.554 | 100 |
| 39.14 | 2.302 | 94 |
| 43.08 | 2.100 | 49 |
| 43.48 | 2.081 | 66 |
| 44.60 | 2.032 | 35 |
| 62.84 | 1.479 | 31 |

=====

6.
This entry pairs a crystal structure of NaAg4Au4 with its calculated powder diffractogram. Radiation: Cu Kα (λ = 1.5418 Å). Structure: a DFT-relaxed cell (GGA-PBE, Alexandria).

Structure:
```
NaAg4Au4
1.0
-4.708 4.708 2.461
4.708 -4.708 2.461
4.708 4.708 -2.461
Na Ag Au
1 4 4
Direct
0.000 0.000 0.000
0.101 0.600 0.701
0.400 0.101 0.501
0.600 0.899 0.499
0.899 0.400 0.299
0.193 0.303 0.496
0.303 0.807 0.110
0.697 0.193 0.890
0.807 0.697 0.504
```

The 8 most intense peaks (2θ from 5° to 70°), by angle:
| two_theta | d (Å) | intensity |
| --- | --- | --- |
| 13.30 | 6.658 | 77 |
| 18.85 | 4.708 | 52 |
| 26.78 | 3.329 | 34 |
| 30.01 | 2.978 | 24 |
| 36.50 | 2.461 | 42 |
| 39.04 | 2.307 | 88 |
| 43.69 | 2.072 | 100 |
| 62.94 | 1.477 | 29 |

=====

7.
This entry pairs a crystal structure of Na8Ag2Au with its calculated powder diffractogram. Radiation: Cu Kα (λ = 1.5418 Å). Structure: a DFT-relaxed cell (GGA-PBE, Alexandria).

Structure:
```
Na8Ag2Au
1.0
8.771 -2.537 0.000
8.771 2.537 0.000
-2.734 0.000 6.856
Na Ag Au
8 2 1
Direct
0.022 0.022 0.282
0.194 0.194 0.778
0.337 0.337 0.559
0.401 0.401 0.062
0.599 0.599 0.938
0.663 0.663 0.441
0.806 0.806 0.222
0.978 0.978 0.718
0.180 0.180 0.185
0.820 0.820 0.815
0.500 0.500 0.500
```

The 8 most intense peaks (2θ from 5° to 70°), by angle:
| two_theta | d (Å) | intensity |
| --- | --- | --- |
| 19.77 | 4.490 | 64 |
| 20.83 | 4.263 | 61 |
| 21.26 | 4.180 | 100 |
| 24.00 | 3.708 | 71 |
| 33.65 | 2.663 | 76 |
| 34.96 | 2.567 | 59 |
| 35.38 | 2.537 | 41 |
| 40.83 | 2.210 | 50 |

=====

8.
This entry pairs a crystal structure of Na2AgPd2Au5 with its calculated powder diffractogram. Radiation: Cu Kα (λ = 1.5418 Å). Structure: a DFT-relaxed cell (GGA-PBE, Alexandria).

Structure:
```
Na2AgPd2Au5
1.0
9.397 0.000 0.000
0.000 9.397 0.000
0.000 0.000 4.347
Na Ag Pd Au
4 2 4 10
Direct
0.172 0.328 0.000
0.328 0.828 0.000
0.672 0.172 0.000
0.828 0.672 0.000
0.000 0.000 0.000
0.500 0.500 0.000
0.125 0.625 0.000
0.375 0.125 0.000
0.625 0.875 0.000
0.875 0.375 0.000
0.000 0.500 0.500
0.070 0.799 0.500
0.201 0.070 0.500
0.299 0.570 0.500
0.430 0.299 0.500
0.500 0.000 0.500
0.570 0.701 0.500
0.701 0.430 0.500
0.799 0.930 0.500
0.930 0.201 0.500
```

The 8 most intense peaks (2θ from 5° to 70°), by angle:
| two_theta | d (Å) | intensity |
| --- | --- | --- |
| 20.43 | 4.347 | 39 |
| 21.14 | 4.202 | 40 |
| 36.63 | 2.453 | 100 |
| 39.54 | 2.279 | 27 |
| 40.35 | 2.235 | 50 |
| 41.55 | 2.173 | 34 |
| 44.91 | 2.018 | 28 |
| 58.70 | 1.573 | 17 |

=====

9.
This entry pairs a crystal structure of NaAgAuSe with its calculated powder diffractogram. Radiation: Cu Kα (λ = 1.5418 Å). Structure: a DFT-relaxed cell (GGA-PBE, Alexandria).

Structure:
```
NaAgAuSe
1.0
3.985 0.000 0.000
0.000 3.985 0.000
0.000 0.000 11.160
Na Ag Au Se
2 2 2 2
Direct
0.250 0.250 0.232
0.750 0.750 0.768
0.250 0.750 0.500
0.750 0.250 0.500
0.250 0.750 0.000
0.750 0.250 0.000
0.250 0.250 0.672
0.750 0.750 0.328
```

The 8 most intense peaks (2θ from 5° to 70°), by angle:
| two_theta | d (Å) | intensity |
| --- | --- | --- |
| 15.88 | 5.580 | 71 |
| 31.75 | 2.818 | 20 |
| 32.08 | 2.790 | 21 |
| 35.69 | 2.516 | 100 |
| 45.52 | 1.993 | 30 |
| 45.76 | 1.983 | 35 |
| 48.51 | 1.877 | 17 |
| 56.77 | 1.622 | 16 |

=====

10.
This entry pairs a crystal structure of Nd6AgAu with its calculated powder diffractogram. Radiation: Cu Kα (λ = 1.5418 Å). Structure: a DFT-relaxed cell (GGA-PBE, Alexandria).

Structure:
```
Nd6AgAu
1.0
-2.636 2.636 8.842
2.636 -2.636 8.842
2.636 2.636 -8.842
Nd Ag Au
6 1 1
Direct
0.105 0.605 0.500
0.249 0.249 0.000
0.395 0.895 0.500
0.605 0.105 0.500
0.751 0.751 0.000
0.895 0.395 0.500
0.000 0.000 0.000
0.500 0.500 0.000
```

The 8 most intense peaks (2θ from 5° to 70°), by angle:
| two_theta | d (Å) | intensity |
| --- | --- | --- |
| 31.39 | 2.850 | 100 |
| 34.01 | 2.636 | 46 |
| 38.96 | 2.312 | 8 |
| 40.82 | 2.210 | 8 |
| 48.86 | 1.864 | 16 |
| 54.15 | 1.694 | 15 |
| 59.23 | 1.560 | 33 |
| 65.50 | 1.425 | 8 |

=====

11.
This entry pairs a crystal structure of Nd3AgAu2 with its calculated powder diffractogram. Radiation: Cu Kα (λ = 1.5418 Å). Structure: a DFT-relaxed cell (GGA-PBE, Alexandria).

Structure:
```
Nd3AgAu2
1.0
5.280 0.000 0.000
-2.640 4.573 0.000
0.000 0.000 12.875
Nd Ag Au
6 2 4
Direct
0.000 0.000 0.247
0.000 0.000 0.753
0.333 0.667 0.418
0.333 0.667 0.921
0.667 0.333 0.079
0.667 0.333 0.582
0.333 0.667 0.671
0.667 0.333 0.329
0.000 0.000 0.000
0.000 0.000 0.500
0.333 0.667 0.175
0.667 0.333 0.825
```

The 8 most intense peaks (2θ from 5° to 70°), by angle:
| two_theta | d (Å) | intensity |
| --- | --- | --- |
| 6.87 | 12.875 | 2 |
| 20.63 | 4.306 | 4 |
| 23.87 | 3.728 | 2 |
| 33.96 | 2.640 | 100 |
| 34.06 | 2.632 | 98 |
| 48.86 | 1.864 | 35 |
| 60.81 | 1.523 | 55 |
| 61.04 | 1.518 | 18 |

=====

12.
This entry pairs a crystal structure of Nd7Ag2Au2 with its calculated powder diffractogram. Radiation: Cu Kα (λ = 1.5418 Å). Structure: a DFT-relaxed cell (GGA-PBE, Alexandria).

Structure:
```
Nd7Ag2Au2
1.0
3.855 -5.532 0.000
3.855 5.532 0.000
0.000 0.000 7.938
Nd Ag Au
7 2 2
Direct
0.000 0.000 0.000
0.000 0.500 0.291
0.000 0.500 0.709
0.500 0.000 0.291
0.500 0.000 0.709
0.500 0.500 0.269
0.500 0.500 0.731
0.290 0.710 0.000
0.710 0.290 0.000
0.181 0.181 0.500
0.819 0.819 0.500
```

The 8 most intense peaks (2θ from 5° to 70°), by angle:
| two_theta | d (Å) | intensity |
| --- | --- | --- |
| 25.69 | 3.468 | 56 |
| 26.51 | 3.362 | 54 |
| 27.66 | 3.225 | 27 |
| 28.21 | 3.163 | 25 |
| 32.37 | 2.766 | 73 |
| 35.20 | 2.550 | 50 |
| 36.32 | 2.473 | 100 |
| 37.68 | 2.387 | 41 |

=====

Which formula does entry 3 have?
NaAg2Au2